Calculated powder X-ray diffraction pattern of BaVS3 for Cu Kα, from a PBE-relaxed structure.

Top 10 peaks for 10° ≤ 2θ ≤ 90°, low angle first:
2θ 21.86, intensity 87, (1 1 1)
2θ 26.20, intensity 56, (1 3 0)
2θ 26.40, intensity 26, (2 0 0)
2θ 31.78, intensity 26, (0 0 2)
2θ 34.29, intensity 52, (0 4 1)
2θ 34.50, intensity 100, (2 2 1)
2θ 35.34, intensity 33, (0 2 2)
2θ 44.63, intensity 30, (2 2 2)
2θ 53.92, intensity 24, (2 6 0)
2θ 58.37, intensity 20, (2 2 3)

Cell and atoms:
```
data_BaVS3
_space_group_name_H-M_alt 'C 2 2 21'
_space_group_IT_number 20
_space_group_name_Hall 'C 2c 2'
_cell_length_a 6.751
_cell_length_b 11.811
_cell_length_c 5.632
_cell_angle_alpha 90.00
_cell_angle_beta 90.00
_cell_angle_gamma 90.00
loop_
_atom_site_label
_atom_site_fract_x
_atom_site_fract_y
_atom_site_fract_z
Ba1 0.000 0.169 0.250
V1 0.039 0.500 0.000
S1 0.000 0.339 0.750
S2 0.248 0.418 0.261
```

***

Calculated powder X-ray diffraction pattern of Tm2MgIn for Cu Kα, from a PBE-relaxed structure.

Top 10 peaks for 10° ≤ 2θ ≤ 90°, low angle first:
2θ 20.72, intensity 8, (1 1 1)
2θ 23.97, intensity 20, (2 0 0)
2θ 34.15, intensity 100, (2 2 0)
2θ 40.28, intensity 5, (3 1 1)
2θ 42.15, intensity 6, (2 2 2)
2θ 49.07, intensity 18, (4 0 0)
2θ 55.32, intensity 9, (4 2 0)
2θ 61.14, intensity 37, (4 2 2)
2θ 71.92, intensity 11, (4 4 0)
2θ 82.07, intensity 16, (6 2 0)

Cell and atoms:
```
data_Tm2MgIn
_space_group_name_H-M_alt 'F m -3 m'
_space_group_IT_number 225
_space_group_name_Hall '-F 4 2 3'
_cell_length_a 7.426
_cell_length_b 7.426
_cell_length_c 7.426
_cell_angle_alpha 90.00
_cell_angle_beta 90.00
_cell_angle_gamma 90.00
loop_
_atom_site_label
_atom_site_fract_x
_atom_site_fract_y
_atom_site_fract_z
Tm1 0.250 0.250 0.250
Mg1 0.000 0.000 0.000
In1 0.000 0.000 0.500
```

***

Calculated powder X-ray diffraction pattern of TaVSi4 for Cu Kα, from a PBE-relaxed structure.

Top 10 peaks for 10° ≤ 2θ ≤ 90°, low angle first:
2θ 13.62, intensity 38, (0 2 0)
2θ 21.73, intensity 46, (0 0 1)
2θ 25.79, intensity 100, (1 2 0)
2θ 25.89, intensity 66, (1 2 -1)
2θ 35.31, intensity 44, (1 4 0)
2θ 40.66, intensity 66, (1 2 1)
2θ 40.80, intensity 58, (1 2 -2)
2θ 40.98, intensity 44, (2 2 -1)
2θ 41.67, intensity 56, (0 6 0)
2θ 47.60, intensity 41, (1 4 1)

Cell and atoms:
```
data_TaVSi4
_space_group_name_H-M_alt 'P 1 2 1'
_space_group_IT_number 3
_space_group_name_Hall 'P 2y'
_cell_length_a 4.682
_cell_length_b 13.005
_cell_length_c 4.704
_cell_angle_alpha 90.00
_cell_angle_beta 119.60
_cell_angle_gamma 90.00
loop_
_atom_site_label
_atom_site_fract_x
_atom_site_fract_y
_atom_site_fract_z
Ta1 0.000 0.000 0.000
Ta2 0.000 0.497 0.000
Ta3 0.500 0.663 0.000
V1 0.000 0.331 0.500
V2 0.000 0.833 0.500
V3 0.500 0.164 0.000
Si1 0.177 0.668 0.344
Si2 0.179 0.168 0.347
Si3 0.334 0.493 0.655
Si4 0.337 0.999 0.662
Si5 0.342 0.832 0.184
Si6 0.345 0.327 0.177
```